[1]
Theoretical XRD peak list
Compound: Tb3Nd5Tm3
Radiation: a wavelength of 1.5418 Å
Structure: a DFT-relaxed cell (PBE, Alexandria)
Lines closer than 0.1° are merged.

Structural model:
Lattice parameters (Å, degrees): 11.271 11.271 3.453 90.00 90.00 120.00
Fractional positions:
Tb 0.000 0.596 0.000
Tb 0.404 0.404 0.000
Tb 0.596 0.000 0.000
Nd 0.000 0.338 0.500
Nd 0.333 0.667 0.500
Nd 0.338 0.000 0.500
Nd 0.662 0.662 0.500
Nd 0.667 0.333 0.500
Tm 0.000 0.841 0.500
Tm 0.159 0.159 0.500
Tm 0.841 0.000 0.500

Top 10 peaks for 2θ from 10° to 90°, sorted by position:
| 2theta | I (rel.) |
| --- | --- |
| 24.12 | 35 |
| 27.41 | 95 |
| 30.36 | 86 |
| 31.75 | 55 |
| 33.09 | 100 |
| 35.61 | 74 |
| 41.36 | 80 |
| 48.45 | 51 |
| 63.18 | 49 |
| 63.97 | 42 |


[2]
Theoretical XRD peak list
Compound: TbNd2Tm6
Radiation: a wavelength of 1.5418 Å
Structure: a DFT-relaxed cell (PBE, Alexandria)
Lines closer than 0.1° are merged.

Structural model:
Lattice parameters (Å, degrees): 9.513 9.513 6.518 98.89 98.89 95.79
Fractional positions:
Tb 0.118 0.882 0.750
Tb 0.882 0.118 0.250
Nd 0.330 0.384 0.625
Nd 0.384 0.330 0.125
Nd 0.616 0.670 0.875
Nd 0.670 0.616 0.375
Tm 0.043 0.221 0.815
Tm 0.058 0.461 0.267
Tm 0.221 0.043 0.315
Tm 0.276 0.654 0.998
Tm 0.346 0.724 0.502
Tm 0.461 0.058 0.767
Tm 0.539 0.942 0.233
Tm 0.654 0.276 0.498
Tm 0.724 0.346 0.002
Tm 0.779 0.957 0.685
Tm 0.942 0.539 0.733
Tm 0.957 0.779 0.185

Top 10 peaks for 2θ from 10° to 90°, sorted by position:
| 2theta | I (rel.) |
| --- | --- |
| 28.12 | 24 |
| 28.99 | 90 |
| 31.26 | 100 |
| 31.49 | 67 |
| 31.68 | 86 |
| 32.52 | 61 |
| 33.45 | 40 |
| 33.88 | 50 |
| 34.60 | 41 |
| 64.11 | 26 |


[3]
Theoretical XRD peak list
Compound: Tb7NdTm2
Radiation: a wavelength of 1.5418 Å
Structure: a DFT-relaxed cell (PBE, Alexandria)
Lines closer than 0.1° are merged.

Structural model:
Lattice parameters (Å, degrees): 9.469 9.469 5.449 106.68 106.68 43.52
Fractional positions:
Tb 0.000 0.000 0.000
Tb 0.137 0.642 0.389
Tb 0.300 0.300 0.800
Tb 0.358 0.863 0.611
Tb 0.642 0.137 0.389
Tb 0.700 0.700 0.200
Tb 0.863 0.358 0.611
Nd 0.500 0.500 0.000
Tm 0.199 0.199 0.200
Tm 0.801 0.801 0.800

Top 10 peaks for 2θ from 10° to 90°, sorted by position:
| 2theta | I (rel.) |
| --- | --- |
| 30.77 | 86 |
| 31.37 | 100 |
| 32.87 | 46 |
| 33.33 | 42 |
| 34.38 | 19 |
| 47.50 | 16 |
| 47.53 | 16 |
| 57.75 | 18 |
| 58.71 | 18 |
| 62.10 | 29 |


[4]
Theoretical XRD peak list
Compound: Tb3Nd8Tm2
Radiation: a wavelength of 1.5418 Å
Structure: a DFT-relaxed cell (PBE, Alexandria)
Lines closer than 0.1° are merged.

Structural model:
Lattice parameters (Å, degrees): 5.765 7.745 10.871 110.84 90.01 90.00
Fractional positions:
Tb 0.000 0.000 0.000
Tb 0.500 0.286 0.000
Tb 0.500 0.714 0.000
Nd 0.000 0.187 0.786
Nd 0.000 0.401 0.214
Nd 0.000 0.599 0.786
Nd 0.000 0.813 0.214
Nd 0.500 0.132 0.264
Nd 0.500 0.326 0.652
Nd 0.500 0.674 0.348
Nd 0.500 0.868 0.736
Tm 0.000 0.240 0.480
Tm 0.000 0.760 0.520

Top 10 peaks for 2θ from 10° to 90°, sorted by position:
| 2theta | I (rel.) |
| --- | --- |
| 24.60 | 24 |
| 29.26 | 38 |
| 30.62 | 34 |
| 31.03 | 45 |
| 32.98 | 100 |
| 35.34 | 11 |
| 39.99 | 14 |
| 56.44 | 22 |
| 63.55 | 10 |
| 66.62 | 11 |


[5]
Theoretical XRD peak list
Compound: TbNd3Tm8
Radiation: a wavelength of 1.5418 Å
Structure: a DFT-relaxed cell (PBE, Alexandria)
Lines closer than 0.1° are merged.

Structural model:
Lattice parameters (Å, degrees): 8.603 8.603 8.603 136.43 98.42 97.41
Fractional positions:
Tb 0.000 0.000 0.000
Nd 0.248 0.748 0.500
Nd 0.500 0.500 0.000
Nd 0.752 0.252 0.500
Tm 0.079 0.249 0.830
Tm 0.246 0.251 0.498
Tm 0.246 0.749 0.995
Tm 0.420 0.249 0.170
Tm 0.580 0.751 0.830
Tm 0.754 0.251 0.005
Tm 0.754 0.749 0.502
Tm 0.921 0.751 0.170

Top 10 peaks for 2θ from 10° to 90°, sorted by position:
| 2theta | I (rel.) |
| --- | --- |
| 31.52 | 60 |
| 31.86 | 100 |
| 32.19 | 79 |
| 35.65 | 22 |
| 36.01 | 50 |
| 45.71 | 20 |
| 51.97 | 25 |
| 56.34 | 20 |
| 56.99 | 22 |
| 66.59 | 29 |


[6]
Theoretical XRD peak list
Compound: Tb7Nd12Tm
Radiation: a wavelength of 1.5418 Å
Structure: a DFT-relaxed cell (PBE, Alexandria)
Lines closer than 0.1° are merged.

Structural model:
Lattice parameters (Å, degrees): 8.845 8.845 8.845 87.95 87.95 87.95
Fractional positions:
Tb 0.000 0.000 0.000
Tb 0.111 0.431 0.353
Tb 0.353 0.111 0.431
Tb 0.431 0.353 0.111
Tb 0.569 0.647 0.889
Tb 0.647 0.889 0.569
Tb 0.889 0.569 0.647
Nd 0.010 0.888 0.361
Nd 0.112 0.639 0.990
Nd 0.227 0.353 0.756
Nd 0.244 0.773 0.647
Nd 0.353 0.756 0.227
Nd 0.361 0.010 0.888
Nd 0.639 0.990 0.112
Nd 0.647 0.244 0.773
Nd 0.756 0.227 0.353
Nd 0.773 0.647 0.244
Nd 0.888 0.361 0.010
Nd 0.990 0.112 0.639
Tm 0.500 0.500 0.500

Top 10 peaks for 2θ from 10° to 90°, sorted by position:
| 2theta | I (rel.) |
| --- | --- |
| 28.07 | 20 |
| 29.39 | 29 |
| 30.35 | 39 |
| 30.83 | 100 |
| 31.70 | 47 |
| 32.38 | 64 |
| 32.88 | 18 |
| 37.03 | 16 |
| 51.39 | 14 |
| 53.82 | 17 |


[7]
Theoretical XRD peak list
Compound: Tb3Nd2Tm6
Radiation: a wavelength of 1.5418 Å
Structure: a DFT-relaxed cell (PBE, Alexandria)
Lines closer than 0.1° are merged.

Structural model:
Lattice parameters (Å, degrees): 6.079 6.079 11.617 95.03 95.03 120.06
Fractional positions:
Tb 0.000 0.000 0.000
Tb 0.335 0.665 0.000
Tb 0.665 0.335 0.000
Nd 0.167 0.833 0.500
Nd 0.833 0.167 0.500
Tm 0.083 0.416 0.247
Tm 0.251 0.251 0.753
Tm 0.416 0.083 0.247
Tm 0.584 0.917 0.753
Tm 0.749 0.749 0.247
Tm 0.917 0.584 0.753

Top 10 peaks for 2θ from 10° to 90°, sorted by position:
| 2theta | I (rel.) |
| --- | --- |
| 31.23 | 100 |
| 31.26 | 99 |
| 36.23 | 100 |
| 52.15 | 47 |
| 52.22 | 24 |
| 62.05 | 49 |
| 62.13 | 35 |
| 65.14 | 18 |
| 85.32 | 21 |
| 88.12 | 17 |


[8]
Theoretical XRD peak list
Compound: Tb7NdTm4
Radiation: a wavelength of 1.5418 Å
Structure: a DFT-relaxed cell (PBE, Alexandria)
Lines closer than 0.1° are merged.

Structural model:
Lattice parameters (Å, degrees): 3.546 3.546 34.683 90.00 90.00 120.00
Fractional positions:
Tb 0.000 0.000 0.000
Tb 0.000 0.000 0.249
Tb 0.000 0.000 0.751
Tb 0.333 0.667 0.165
Tb 0.333 0.667 0.414
Tb 0.667 0.333 0.586
Tb 0.667 0.333 0.835
Nd 0.000 0.000 0.500
Tm 0.333 0.667 0.668
Tm 0.333 0.667 0.918
Tm 0.667 0.333 0.082
Tm 0.667 0.333 0.332

Top 10 peaks for 2θ from 10° to 90°, sorted by position:
| 2theta | I (rel.) |
| --- | --- |
| 30.90 | 100 |
| 35.83 | 51 |
| 51.58 | 36 |
| 61.35 | 42 |
| 64.36 | 9 |
| 75.94 | 6 |
| 84.17 | 13 |
| 84.30 | 4 |
| 86.87 | 8 |
| 86.98 | 8 |


[9]
Theoretical XRD peak list
Compound: Tb3Nd5Tm4
Radiation: a wavelength of 1.5418 Å
Structure: a DFT-relaxed cell (PBE, Alexandria)
Lines closer than 0.1° are merged.

Structural model:
Lattice parameters (Å, degrees): 5.672 5.672 14.986 106.03 106.03 61.72
Fractional positions:
Tb 0.000 0.000 0.000
Tb 0.295 0.295 0.751
Tb 0.705 0.705 0.249
Nd 0.046 0.046 0.247
Nd 0.168 0.168 0.499
Nd 0.500 0.500 0.000
Nd 0.832 0.832 0.501
Nd 0.954 0.954 0.753
Tm 0.324 0.324 0.146
Tm 0.439 0.439 0.377
Tm 0.561 0.561 0.623
Tm 0.676 0.676 0.854

Top 10 peaks for 2θ from 10° to 90°, sorted by position:
| 2theta | I (rel.) |
| --- | --- |
| 28.35 | 39 |
| 30.73 | 69 |
| 31.14 | 37 |
| 31.25 | 38 |
| 31.72 | 100 |
| 33.61 | 54 |
| 44.36 | 57 |
| 51.52 | 13 |
| 61.20 | 16 |
| 72.93 | 13 |


[10]
Theoretical XRD peak list
Compound: Tb3Nd7Tm2
Radiation: a wavelength of 1.5418 Å
Structure: a DFT-relaxed cell (PBE, Alexandria)
Lines closer than 0.1° are merged.

Structural model:
Lattice parameters (Å, degrees): 6.468 3.569 17.626 90.00 95.89 90.00
Fractional positions:
Tb 0.000 0.000 0.000
Tb 0.045 0.500 0.660
Tb 0.955 0.500 0.340
Nd 0.224 0.500 0.168
Nd 0.243 0.000 0.506
Nd 0.277 0.000 0.828
Nd 0.500 0.500 0.000
Nd 0.723 0.000 0.172
Nd 0.757 0.000 0.494
Nd 0.776 0.500 0.832
Tm 0.440 0.000 0.330
Tm 0.560 0.000 0.670

Top 10 peaks for 2θ from 10° to 90°, sorted by position:
| 2theta | I (rel.) |
| --- | --- |
| 29.32 | 55 |
| 30.31 | 80 |
| 30.59 | 100 |
| 30.89 | 97 |
| 33.14 | 68 |
| 34.44 | 87 |
| 49.39 | 39 |
| 51.19 | 25 |
| 59.72 | 27 |
| 60.82 | 33 |


[11]
Theoretical XRD peak list
Compound: TbNd8Tm2
Radiation: a wavelength of 1.5418 Å
Structure: a DFT-relaxed cell (PBE, Alexandria)
Lines closer than 0.1° are merged.

Structural model:
Lattice parameters (Å, degrees): 8.558 8.558 5.487 90.07 90.07 104.94
Fractional positions:
Tb 0.000 0.000 0.000
Nd 0.031 0.301 0.500
Nd 0.254 0.746 0.000
Nd 0.301 0.031 0.500
Nd 0.335 0.335 0.000
Nd 0.665 0.665 0.000
Nd 0.699 0.969 0.500
Nd 0.746 0.254 0.000
Nd 0.969 0.699 0.500
Tm 0.381 0.619 0.500
Tm 0.619 0.381 0.500

Top 10 peaks for 2θ from 10° to 90°, sorted by position:
| 2theta | I (rel.) |
| --- | --- |
| 27.00 | 12 |
| 30.98 | 100 |
| 31.17 | 85 |
| 32.49 | 44 |
| 32.64 | 45 |
| 42.24 | 15 |
| 46.71 | 32 |
| 54.38 | 14 |
| 57.23 | 26 |
| 62.38 | 27 |


[12]
Theoretical XRD peak list
Compound: TbNd7Tm3
Radiation: a wavelength of 1.5418 Å
Structure: a DFT-relaxed cell (PBE, Alexandria)
Lines closer than 0.1° are merged.

Structural model:
Lattice parameters (Å, degrees): 7.197 10.276 12.500 66.25 73.31 69.52
Fractional positions:
Tb 0.000 0.000 0.000
Tb 0.000 0.500 0.500
Nd 0.080 0.307 0.029
Nd 0.081 0.807 0.526
Nd 0.221 0.250 0.750
Nd 0.334 0.046 0.273
Nd 0.346 0.546 0.773
Nd 0.414 0.693 0.974
Nd 0.416 0.193 0.471
Nd 0.584 0.807 0.529
Nd 0.586 0.307 0.026
Nd 0.654 0.454 0.227
Nd 0.666 0.954 0.727
Nd 0.779 0.750 0.250
Nd 0.919 0.193 0.474
Nd 0.920 0.693 0.971
Tm 0.167 0.434 0.225
Tm 0.174 0.934 0.725
Tm 0.500 0.000 0.000
Tm 0.500 0.500 0.500
Tm 0.826 0.066 0.275
Tm 0.833 0.566 0.775

Top 10 peaks for 2θ from 10° to 90°, sorted by position:
| 2theta | I (rel.) |
| --- | --- |
| 28.77 | 22 |
| 29.45 | 20 |
| 31.11 | 50 |
| 31.75 | 100 |
| 33.19 | 31 |
| 33.58 | 55 |
| 50.36 | 26 |
| 50.74 | 12 |
| 60.14 | 15 |
| 60.66 | 22 |